The following is a calculated XRD peak list of LiSm5Tl4. It was derived from a DFT-relaxed cell (PBE, Alexandria), using copper Kα.
Neutral-atom scattering factors, no anomalous dispersion.

Atomic structure:
Lattice parameters (Å, degrees): 3.711 3.711 20.567 90.00 90.00 90.00
Positions (direct):
Li 0.000 0.000 0.000
Sm 0.500 0.500 0.095
Sm 0.500 0.500 0.296
Sm 0.500 0.500 0.500
Sm 0.500 0.500 0.704
Sm 0.500 0.500 0.905
Tl 0.000 0.000 0.191
Tl 0.000 0.000 0.397
Tl 0.000 0.000 0.603
Tl 0.000 0.000 0.809

Main lines, sorted by position (10 to 80 degrees two-theta):
- 2θ 32.50, I = 100
- 2θ 34.17, I = 45
- 2θ 49.10, I = 16
- 2θ 56.88, I = 19
- 2θ 60.12, I = 35
- 2θ 68.06, I = 11

=====

The following is a calculated XRD peak list of Li2Sm3Tl3. It was derived from a DFT-relaxed cell (PBE, Alexandria), using copper Kα.
Neutral-atom scattering factors, no anomalous dispersion.

Atomic structure:
Lattice parameters (Å, degrees): 17.901 4.653 4.968 90.00 106.03 90.00
Positions (direct):
Li 0.242 0.000 0.243
Li 0.258 0.500 0.757
Li 0.742 0.500 0.243
Li 0.758 0.000 0.757
Sm 0.000 0.000 0.000
Sm 0.140 0.000 0.641
Sm 0.360 0.500 0.359
Sm 0.500 0.500 0.000
Sm 0.640 0.500 0.641
Sm 0.860 0.000 0.359
Tl 0.000 0.500 0.500
Tl 0.152 0.500 0.152
Tl 0.348 0.000 0.848
Tl 0.500 0.000 0.500
Tl 0.652 0.000 0.152
Tl 0.848 0.500 0.848

Main lines, sorted by position (10 to 80 degrees two-theta):
- 2θ 28.25, I = 49
- 2θ 31.19, I = 24
- 2θ 33.62, I = 100
- 2θ 36.16, I = 26
- 2θ 38.70, I = 21
- 2θ 60.30, I = 26

=====

The following is a calculated XRD peak list of Li2Sm3Tl3. It was derived from a DFT-relaxed cell (PBE, Alexandria), using copper Kα.
Neutral-atom scattering factors, no anomalous dispersion.

Atomic structure:
Lattice parameters (Å, degrees): 9.205 9.205 5.847 90.00 90.00 120.00
Positions (direct):
Li 0.333 0.667 0.000
Li 0.333 0.667 0.500
Li 0.667 0.333 0.000
Li 0.667 0.333 0.500
Sm 0.000 0.244 0.250
Sm 0.000 0.756 0.750
Sm 0.244 0.000 0.250
Sm 0.244 0.244 0.750
Sm 0.756 0.000 0.750
Sm 0.756 0.756 0.250
Tl 0.000 0.407 0.750
Tl 0.000 0.593 0.250
Tl 0.407 0.000 0.750
Tl 0.407 0.407 0.250
Tl 0.593 0.000 0.250
Tl 0.593 0.593 0.750

Main lines, sorted by position (10 to 80 degrees two-theta):
- 2θ 19.29, I = 42
- 2θ 30.58, I = 34
- 2θ 33.46, I = 100
- 2θ 36.41, I = 19
- 2θ 43.77, I = 26
- 2θ 56.21, I = 23

=====

The following is a calculated XRD peak list of LiSmTl5. It was derived from a DFT-relaxed cell (PBE, Alexandria), using copper Kα.
Neutral-atom scattering factors, no anomalous dispersion.

Atomic structure:
Lattice parameters (Å, degrees): 4.747 4.747 8.368 90.00 90.00 90.00
Positions (direct):
Li 0.000 0.000 0.000
Sm 0.500 0.500 0.500
Tl 0.000 0.000 0.500
Tl 0.000 0.500 0.199
Tl 0.000 0.500 0.801
Tl 0.500 0.000 0.199
Tl 0.500 0.000 0.801

Main lines, sorted by position (10 to 80 degrees two-theta):
- 2θ 28.65, I = 57
- 2θ 32.09, I = 30
- 2θ 34.25, I = 100
- 2θ 37.91, I = 51
- 2θ 50.49, I = 34
- 2θ 66.13, I = 30

=====

The following is a calculated XRD peak list of LiSm2Tl3. It was derived from a DFT-relaxed cell (PBE, Alexandria), using copper Kα.
Neutral-atom scattering factors, no anomalous dispersion.

Atomic structure:
Lattice parameters (Å, degrees): 5.305 5.305 13.223 90.00 90.00 120.00
Positions (direct):
Li 0.333 0.667 0.159
Li 0.667 0.333 0.841
Sm 0.000 0.000 0.000
Sm 0.000 0.000 0.500
Sm 0.333 0.667 0.679
Sm 0.667 0.333 0.321
Tl 0.000 0.000 0.243
Tl 0.000 0.000 0.757
Tl 0.333 0.667 0.411
Tl 0.333 0.667 0.921
Tl 0.667 0.333 0.079
Tl 0.667 0.333 0.589

Main lines, sorted by position (10 to 80 degrees two-theta):
- 2θ 23.58, I = 29
- 2θ 33.39, I = 100
- 2θ 33.79, I = 100
- 2θ 48.24, I = 36
- 2θ 60.20, I = 38
- 2θ 60.45, I = 19

=====

The following is a calculated XRD peak list of Li3Sm2Tl3. It was derived from a DFT-relaxed cell (PBE, Alexandria), using copper Kα.
Neutral-atom scattering factors, no anomalous dispersion.

Atomic structure:
Lattice parameters (Å, degrees): 8.992 8.992 8.992 33.49 33.49 33.49
Positions (direct):
Li 0.000 0.000 0.000
Li 0.126 0.126 0.126
Li 0.625 0.625 0.625
Sm 0.379 0.379 0.379
Sm 0.873 0.873 0.873
Tl 0.257 0.257 0.257
Tl 0.502 0.502 0.502
Tl 0.745 0.745 0.745

Main lines, sorted by position (10 to 80 degrees two-theta):
- 2θ 20.98, I = 34
- 2θ 24.28, I = 12
- 2θ 34.60, I = 100
- 2θ 40.82, I = 18
- 2θ 49.74, I = 18
- 2θ 62.03, I = 28

=====

The following is a calculated XRD peak list of LiSm5Y4. It was derived from a DFT-relaxed cell (PBE, Alexandria), using copper Kα.
Neutral-atom scattering factors, no anomalous dispersion.

Atomic structure:
Lattice parameters (Å, degrees): 3.619 3.619 24.344 90.00 90.00 90.00
Positions (direct):
Li 0.000 0.000 0.000
Sm 0.500 0.500 0.085
Sm 0.500 0.500 0.292
Sm 0.500 0.500 0.500
Sm 0.500 0.500 0.708
Sm 0.500 0.500 0.915
Y 0.000 0.000 0.188
Y 0.000 0.000 0.396
Y 0.000 0.000 0.604
Y 0.000 0.000 0.812

Main lines, sorted by position (10 to 80 degrees two-theta):
- 2θ 24.60, I = 11
- 2θ 30.78, I = 100
- 2θ 35.07, I = 39
- 2θ 50.43, I = 14
- 2θ 51.83, I = 16
- 2θ 60.26, I = 29

=====

The following is a calculated XRD peak list of LiSm3Zn4. It was derived from a DFT-relaxed cell (PBE, Alexandria), using copper Kα.
Neutral-atom scattering factors, no anomalous dispersion.

Atomic structure:
Lattice parameters (Å, degrees): 8.774 8.774 8.774 33.21 33.21 33.21
Positions (direct):
Li 0.000 0.000 0.000
Sm 0.255 0.255 0.255
Sm 0.500 0.500 0.500
Sm 0.745 0.745 0.745
Zn 0.121 0.121 0.121
Zn 0.374 0.374 0.374
Zn 0.626 0.626 0.626
Zn 0.879 0.879 0.879

Main lines, sorted by position (10 to 80 degrees two-theta):
- 2θ 20.77, I = 17
- 2θ 35.54, I = 99
- 2θ 35.82, I = 100
- 2θ 51.34, I = 34
- 2θ 64.18, I = 34
- 2θ 64.36, I = 18

=====

The following is a calculated XRD peak list of LiSm2Zn5. It was derived from a DFT-relaxed cell (PBE, Alexandria), using copper Kα.
Neutral-atom scattering factors, no anomalous dispersion.

Atomic structure:
Lattice parameters (Å, degrees): 8.488 8.488 8.956 90.00 90.00 150.09
Positions (direct):
Li 0.054 0.946 0.750
Li 0.946 0.054 0.250
Sm 0.298 0.702 0.250
Sm 0.500 0.500 0.000
Sm 0.500 0.500 0.500
Sm 0.702 0.298 0.750
Zn 0.100 0.900 0.250
Zn 0.148 0.852 0.523
Zn 0.148 0.852 0.977
Zn 0.313 0.687 0.605
Zn 0.313 0.687 0.895
Zn 0.687 0.313 0.105
Zn 0.687 0.313 0.395
Zn 0.852 0.148 0.023
Zn 0.852 0.148 0.477
Zn 0.900 0.100 0.750

Main lines, sorted by position (10 to 80 degrees two-theta):
- 2θ 22.62, I = 36
- 2θ 32.96, I = 100
- 2θ 34.15, I = 100
- 2θ 36.84, I = 77
- 2θ 41.22, I = 50
- 2θ 69.91, I = 26

=====

The following is a calculated XRD peak list of LiSm2Zn4. It was derived from a DFT-relaxed cell (PBE, Alexandria), using copper Kα.
Neutral-atom scattering factors, no anomalous dispersion.

Atomic structure:
Lattice parameters (Å, degrees): 7.930 4.583 8.383 90.00 108.79 90.00
Positions (direct):
Li 0.000 0.000 0.000
Li 0.500 0.500 0.000
Sm 0.072 0.500 0.714
Sm 0.428 0.000 0.286
Sm 0.572 0.000 0.714
Sm 0.928 0.500 0.286
Zn 0.175 0.000 0.524
Zn 0.196 0.500 0.089
Zn 0.304 0.000 0.911
Zn 0.325 0.500 0.476
Zn 0.675 0.500 0.524
Zn 0.696 0.000 0.089
Zn 0.804 0.500 0.911
Zn 0.825 0.000 0.476

Main lines, sorted by position (10 to 80 degrees two-theta):
- 2θ 22.72, I = 72
- 2θ 34.62, I = 25
- 2θ 34.80, I = 49
- 2θ 37.72, I = 56
- 2θ 37.93, I = 27
- 2θ 39.34, I = 100

=====

The following is a calculated XRD peak list of LiSmZn11. It was derived from a DFT-relaxed cell (PBE, Alexandria), using copper Kα.
Neutral-atom scattering factors, no anomalous dispersion.

Atomic structure:
Lattice parameters (Å, degrees): 6.792 6.792 6.818 98.45 98.45 134.62
Positions (direct):
Li 0.000 0.000 0.000
Sm 0.500 0.500 0.500
Zn 0.000 0.500 0.500
Zn 0.001 0.783 0.278
Zn 0.138 0.490 0.145
Zn 0.217 0.999 0.722
Zn 0.490 0.138 0.145
Zn 0.500 0.000 0.500
Zn 0.500 0.500 0.000
Zn 0.510 0.862 0.855
Zn 0.783 0.001 0.278
Zn 0.862 0.510 0.855
Zn 0.999 0.217 0.722

Main lines, sorted by position (10 to 80 degrees two-theta):
- 2θ 34.22, I = 25
- 2θ 34.80, I = 50
- 2θ 39.94, I = 60
- 2θ 40.28, I = 35
- 2θ 40.56, I = 100
- 2θ 45.10, I = 24

=====

The following is a calculated XRD peak list of LiSm4Zn2. It was derived from a DFT-relaxed cell (PBE, Alexandria), using copper Kα.
Neutral-atom scattering factors, no anomalous dispersion.

Atomic structure:
Lattice parameters (Å, degrees): 7.913 7.913 7.913 110.27 110.27 107.89
Positions (direct):
Li 0.000 0.000 0.000
Li 0.750 0.250 0.500
Sm 0.139 0.235 0.749
Sm 0.140 0.736 0.751
Sm 0.264 0.015 0.404
Sm 0.486 0.390 0.251
Sm 0.610 0.861 0.096
Sm 0.611 0.860 0.596
Sm 0.765 0.514 0.904
Sm 0.985 0.389 0.249
Zn 0.239 0.625 0.114
Zn 0.375 0.489 0.614
Zn 0.511 0.125 0.886
Zn 0.875 0.761 0.386

Main lines, sorted by position (10 to 80 degrees two-theta):
- 2θ 23.98, I = 30
- 2θ 30.44, I = 49
- 2θ 31.22, I = 100
- 2θ 36.48, I = 38
- 2θ 36.87, I = 33
- 2θ 37.11, I = 43

=====

The following is a calculated XRD peak list of Li3Sm3Zn8. It was derived from a DFT-relaxed cell (PBE, Alexandria), using copper Kα.
Neutral-atom scattering factors, no anomalous dispersion.

Atomic structure:
Lattice parameters (Å, degrees): 8.460 8.460 8.460 148.73 119.72 69.48
Positions (direct):
Li 0.000 0.000 0.000
Li 0.185 0.500 0.685
Li 0.815 0.500 0.315
Sm 0.221 0.721 0.500
Sm 0.500 0.000 0.500
Sm 0.779 0.279 0.500
Zn 0.064 0.861 0.204
Zn 0.197 0.345 0.852
Zn 0.343 0.139 0.204
Zn 0.492 0.345 0.148
Zn 0.508 0.655 0.852
Zn 0.657 0.861 0.796
Zn 0.803 0.655 0.148
Zn 0.936 0.139 0.796

Main lines, sorted by position (10 to 80 degrees two-theta):
- 2θ 12.73, I = 58
- 2θ 33.30, I = 68
- 2θ 34.11, I = 98
- 2θ 34.75, I = 58
- 2θ 37.38, I = 100
- 2θ 39.53, I = 54

=====

The following is a calculated XRD peak list of Li4Sn3. It was derived from a DFT-relaxed cell (PBE, Alexandria), using copper Kα.
Neutral-atom scattering factors, no anomalous dispersion.

Atomic structure:
Lattice parameters (Å, degrees): 3.092 4.348 20.917 90.00 90.00 90.00
Positions (direct):
Li 0.000 0.000 0.073
Li 0.000 0.000 0.211
Li 0.000 0.000 0.789
Li 0.000 0.000 0.927
Li 0.500 0.500 0.289
Li 0.500 0.500 0.427
Li 0.500 0.500 0.573
Li 0.500 0.500 0.711
Sn 0.000 0.000 0.351
Sn 0.000 0.000 0.500
Sn 0.000 0.000 0.649
Sn 0.500 0.500 0.000
Sn 0.500 0.500 0.149
Sn 0.500 0.500 0.851

Main lines, sorted by position (10 to 80 degrees two-theta):
- 2θ 20.87, I = 100
- 2θ 25.55, I = 43
- 2θ 29.19, I = 44
- 2θ 35.63, I = 61
- 2θ 36.48, I = 55
- 2θ 44.36, I = 41